Record 1
Diffraction record for Tb2PmDy5. The X-ray powder pattern is simulated, not measured: it uses a PBE-relaxed structure and λ = 1.5418 Å (Cu Kα).
Neutral-atom scattering factors, no anomalous dispersion.

Main lines, sorted by position (2θ = 10–90°):
2θ (°)  d_spacing  I_rel
30.76  2.906  100
35.63  2.520  34
35.75  2.512  17
51.33  1.780  36
61.00  1.519  29
61.15  1.515  14
64.08  1.453  12
83.66  1.156  6
83.80  1.154  12
86.37  1.127  11

Atomic structure:
Cell: 7.126 14.255 5.023 Å, 90.00 90.00 90.00°
Atoms (fractional coordinates):
Tb 0.250 0.126 0.000
Tb 0.250 0.626 0.000
Tb 0.750 0.374 0.000
Tb 0.750 0.874 0.000
Pm 0.000 0.000 0.500
Pm 0.500 0.500 0.500
Dy 0.000 0.251 0.500
Dy 0.000 0.500 0.500
Dy 0.000 0.749 0.500
Dy 0.250 0.374 0.000
Dy 0.250 0.874 0.000
Dy 0.500 0.000 0.500
Dy 0.500 0.249 0.500
Dy 0.500 0.751 0.500
Dy 0.750 0.126 0.000
Dy 0.750 0.626 0.000

---

Record 2
Diffraction record for Tb6Pm3Dy2. The X-ray powder pattern is simulated, not measured: it uses a PBE-relaxed structure and λ = 1.5418 Å (Cu Kα).
Neutral-atom scattering factors, no anomalous dispersion.

Main lines, sorted by position (2θ = 10–90°):
2θ (°)  d_spacing  I_rel
30.69  2.913  20
30.85  2.899  37
31.27  2.860  41
32.03  2.795  100
34.16  2.625  14
44.39  2.041  15
53.05  1.726  13
56.14  1.638  23
61.92  1.499  17
62.88  1.478  15

Atomic structure:
Cell: 6.705 6.705 10.499 Å, 90.00 90.00 129.50°
Atoms (fractional coordinates):
Tb 0.000 0.000 0.210
Tb 0.000 0.000 0.790
Tb 0.349 0.651 0.302
Tb 0.349 0.651 0.698
Tb 0.651 0.349 0.302
Tb 0.651 0.349 0.698
Pm 0.206 0.794 0.000
Pm 0.500 0.500 0.000
Pm 0.794 0.206 0.000
Dy 0.133 0.867 0.500
Dy 0.867 0.133 0.500

---

Record 3
Diffraction record for Tb6PmDy5. The X-ray powder pattern is simulated, not measured: it uses a PBE-relaxed structure and λ = 1.5418 Å (Cu Kα).
Neutral-atom scattering factors, no anomalous dispersion.

Main lines, sorted by position (2θ = 10–90°):
2θ (°)  d_spacing  I_rel
29.72  3.006  27
30.75  2.908  30
32.38  2.765  100
43.29  2.090  20
49.44  1.844  8
54.45  1.685  16
55.71  1.650  22
58.75  1.572  8
59.36  1.557  9
67.78  1.383  10

Atomic structure:
Cell: 10.167 10.167 10.167 Å, 146.76 137.47 55.02°
Atoms (fractional coordinates):
Tb 0.069 0.319 0.750
Tb 0.250 0.000 0.250
Tb 0.431 0.681 0.750
Tb 0.569 0.319 0.250
Tb 0.750 0.000 0.750
Tb 0.931 0.681 0.250
Pm 0.500 0.500 0.000
Dy 0.000 0.500 0.500
Dy 0.153 0.153 0.000
Dy 0.346 0.846 0.500
Dy 0.654 0.154 0.500
Dy 0.847 0.847 0.000